For Sr3CaTi3MnO12, a PBE+U-relaxed structure gives the calculated PXRD pattern in this record (Cu Ka).
Lines closer than 0.1° are merged.

Structure:
Unit cell a=7.8281 b=7.7612 c=7.8601 alpha=90.00 beta=90.00 gamma=90.00
Space group Pma2 (No. 28)
Inequivalent atoms, fractional coordinates:
Sr 0.2500 0.2462 0.9998 (multiplicity 2)
Sr 0.2500 0.2474 0.5035 (multiplicity 2)
Sr 0.2500 0.7521 0.0000 (multiplicity 2)
Ca 0.2500 0.7514 0.5069 (multiplicity 2)
Ti 0.0000 0.0000 0.2563 (multiplicity 2)
Ti 0.0000 0.5000 0.2560 (multiplicity 2)
Ti 0.0000 0.5000 0.7525 (multiplicity 2)
Mn 0.0000 0.0000 0.7503 (multiplicity 2)
O 0.0000 0.0000 0.5024 (multiplicity 2)
O 0.0000 0.0000 0.9955 (multiplicity 2)
O 0.0000 0.5000 0.4995 (multiplicity 2)
O 0.0000 0.5000 0.9979 (multiplicity 2)
O 0.0251 0.2468 0.7486 (multiplicity 4)
O 0.0302 0.2494 0.2485 (multiplicity 4)
O 0.2500 0.5254 0.7426 (multiplicity 2)
O 0.2500 0.5324 0.2553 (multiplicity 2)
O 0.2500 0.9639 0.7403 (multiplicity 2)
O 0.2500 0.9680 0.2564 (multiplicity 2)

Most intense lines, 2θ from 10° to 80°, low angle first:
Position (°2θ)  Rel. int.  index
32.3  49  2 0 2
32.5  100  2 2 0
40.0  25  2 2 2
46.2  22  0 0 4
46.4  21  4 0 0
46.8  20  0 4 0
57.6  19  2 2 4
57.7  19  4 2 2
58.0  19  2 4 2
67.6  12  4 0 4
67.9  11  0 4 4
68.0  11  4 4 0